Starting from a GGA-PBE-relaxed structure, the powder diffractogram of Hf4CSe5 was simulated for Cu Kα (weighted mean of Kα1 and Kα2).
Neutral-atom scattering factors, no anomalous dispersion.

Atomic structure:
Lattice parameters (Å, degrees): 8.302 8.302 7.401 101.86 101.86 24.96
Fractional positions:
Hf (0.001, 0.001, 0.283)
Hf (0.355, 0.355, 0.429)
Hf (0.645, 0.645, 0.571)
Hf (0.999, 0.999, 0.717)
C (0.500, 0.500, 0.500)
Se (0.165, 0.165, 0.836)
Se (0.170, 0.170, 0.319)
Se (0.500, 0.500, 0.000)
Se (0.830, 0.830, 0.681)
Se (0.835, 0.835, 0.164)

Peak list (6 most intense, 2θ = 5–70°, low angle first)
2θ (°)	I (rel.)
12.23	48
33.95	69
34.83	100
37.90	23
49.09	30
49.76	29